(1)
Computed powder XRD pattern of SrPd3S4 for Cu Kα, 1.54184 Å, from DFT lattice parameters and positions (GGA-PBE).

The 10 most intense peaks (2θ = 15–90°), in order of falling intensity:
hkl 2 1 0, 2θ 29.4, I = 100.0
hkl 2 1 1, 2θ 32.3, I = 64.2
hkl 3 2 1, 2θ 50.3, I = 36.2
hkl 4 0 0, 2θ 54.1, I = 27.1
hkl 2 2 2, 2θ 46.4, I = 26.2
hkl 3 2 0, 2θ 48.4, I = 24.7
hkl 4 2 1, 2θ 62.8, I = 22.3
hkl 5 2 0, 2θ 75.5, I = 19.2
hkl 4 4 0, 2θ 80.0, I = 17.0
hkl 6 1 1, 2θ 89.0, I = 10.9

Structure:
a b c (Å): 6.783 6.783 6.783
angles (deg): 90.00 90.00 90.00
Space group Pm-3n (No. 223)
Asymmetric unit:
Sr (0.000, 0.000, 0.000)
Pd (0.000, 0.250, 0.500)
S (0.250, 0.250, 0.250)

(2)
Computed powder XRD pattern of SrPdS4 for Cu Kα, 1.54184 Å, from DFT lattice parameters and positions (GGA-PBE).

The 10 most intense peaks (2θ = 15–90°), in order of falling intensity:
hkl 1 3 1, 2θ 27.8, I = 100.0
hkl 1 1 1, 2θ 22.7, I = 67.0
hkl 0 4 2, 2θ 34.4, I = 47.9
hkl 0 0 2, 2θ 25.7, I = 31.5
hkl 2 0 2, 2θ 44.9, I = 28.6
hkl 2 4 0, 2θ 43.0, I = 27.8
hkl 2 4 1, 2θ 45.1, I = 23.4
hkl 1 5 0, 2θ 33.6, I = 20.5
hkl 1 3 3, 2θ 46.6, I = 19.6
hkl 1 1 3, 2θ 43.5, I = 18.7

Structure:
a b c (Å): 4.966 15.791 6.941
angles (deg): 90.00 90.00 90.00
Space group Pbcn (No. 60)
Asymmetric unit:
Sr (0.000, 0.143, 0.250)
Pd (0.000, 0.408, 0.250)
S (0.175, 0.198, 0.667)
S (0.211, 0.006, 0.999)

(3)
Computed powder XRD pattern of Ta2PdS4 for Cu Kα, 1.54184 Å, from DFT lattice parameters and positions (GGA-PBE).

The 10 most intense peaks (2θ = 15–90°), in order of falling intensity:
hkl 2 1 1, 2θ 29.0, I = 100.0
hkl 4 0 0, 2θ 50.5, I = 58.1
hkl 1 0 5, 2θ 46.1, I = 40.6
hkl 2 2 0, 2θ 35.1, I = 33.9
hkl 1 0 1, 2θ 15.0, I = 29.0
hkl 2 0 2, 2θ 30.3, I = 22.9
hkl 2 0 0, 2θ 24.6, I = 14.4
hkl 3 0 5, 2θ 59.3, I = 13.4
hkl 5 0 3, 2θ 70.8, I = 12.0
hkl 4 1 5, 2θ 70.7, I = 10.5

Structure:
a b c (Å): 7.225 7.225 10.239
angles (deg): 90.00 90.00 90.00
Space group I4_1/amd (No. 141, origin choice 2)
Asymmetric unit:
Ta (0.000, 0.000, 0.000)
Pd (0.000, 0.250, 0.375)
S (0.000, 0.012, 0.757)

(4)
Computed powder XRD pattern of TaTl2PdS4 for Cu Kα, 1.54184 Å, from DFT lattice parameters and positions (GGA-PBE).

The 10 most intense peaks (2θ = 15–90°), in order of falling intensity:
hkl 0 2 6, 2θ 27.0, I = 100.0
hkl 2 2 0, 2θ 33.7, I = 56.3
hkl 2 0 6, 2θ 38.8, I = 51.4
hkl 1 3 3, 2θ 28.3, I = 41.9
hkl 1 1 1, 2θ 17.1, I = 38.8
hkl 2 4 6, 2θ 48.3, I = 37.5
hkl 0 4 0, 2θ 27.6, I = 36.9
hkl 1 3 5, 2θ 32.3, I = 31.7
hkl 1 1 3, 2θ 20.3, I = 28.0
hkl 0 6 6, 2θ 48.5, I = 26.3

Structure:
a b c (Å): 5.827 12.925 23.015
angles (deg): 90.00 90.00 90.00
Space group Fddd (No. 70, origin choice 2)
Asymmetric unit:
Ta (0.125, 0.125, 0.125)
Tl (0.125, 0.125, 0.298)
Pd (0.125, 0.125, 0.625)
S (0.103, 0.274, 0.434)

(5)
Computed powder XRD pattern of Th2PdS for Cu Kα, 1.54184 Å, from DFT lattice parameters and positions (GGA-PBE).

The 10 most intense peaks (2θ = 15–90°), in order of falling intensity:
hkl 0 1 5, 2θ 32.7, I = 100.0
hkl 1 0 7, 2θ 38.3, I = 57.4
hkl 0 1 2, 2θ 27.1, I = 55.3
hkl 1 1 0, 2θ 45.6, I = 50.2
hkl 1 0 1, 2θ 26.2, I = 42.1
hkl 1 1 12, 2θ 68.7, I = 29.4
hkl 0 0 6, 2θ 23.7, I = 24.0
hkl 2 0 5, 2θ 57.2, I = 20.6
hkl 1 1 6, 2θ 52.0, I = 19.3
hkl 1 2 5, 2θ 76.1, I = 19.1

Structure:
a b c (Å): 3.9786 3.9786 22.5410
angles (deg): 90.00 90.00 120.00
Space group R3m (No. 160, hexagonal axes)
Asymmetric unit:
Th (0.0000, 0.0000, 0.0000)
Th (0.0000, 0.0000, 0.1705)
Pd (0.0000, 0.0000, 0.5867)
S (0.0000, 0.0000, 0.4185)

(6)
Computed powder XRD pattern of TiPdS3 for Cu Kα, 1.54184 Å, from DFT lattice parameters and positions (GGA-PBE).

The 10 most intense peaks (2θ = 15–90°), in order of falling intensity:
hkl 1 1 2, 2θ 43.7, I = 100.0
hkl 1 0 0, 2θ 17.5, I = 95.8
hkl 1 0 2, 2θ 35.3, I = 47.3
hkl 1 1 0, 2θ 30.6, I = 38.0
hkl 3 0 0, 2θ 54.4, I = 36.9
hkl 1 1 1, 2θ 34.3, I = 34.7
hkl 2 0 0, 2θ 35.5, I = 27.0
hkl 2 2 2, 2θ 72.2, I = 20.3
hkl 3 0 4, 2θ 88.2, I = 18.7
hkl 2 1 0, 2θ 47.5, I = 18.6

Structure:
a b c (Å): 5.8441 5.8441 5.8763
angles (deg): 90.00 90.00 120.00
Space group P-6c2 (No. 188)
Asymmetric unit:
Ti (0.0000, 0.0000, 0.0000)
Pd (0.6667, 0.3333, 0.0000)
S (0.0267, 0.3490, 0.2500)

(7)
Computed powder XRD pattern of TlPd2S3 for Cu Kα, 1.54184 Å, from DFT lattice parameters and positions (GGA-PBE).

The 10 most intense peaks (2θ = 15–90°), in order of falling intensity:
hkl 0 2 4, 2θ 34.9, I = 100.0
hkl 0 2 1, 2θ 29.5, I = 72.7
hkl 2 0 5, 2θ 37.9, I = 70.1
hkl 0 1 2, 2θ 17.3, I = 64.8
hkl 1 1 3, 2θ 29.0, I = 58.4
hkl 2 2 0, 2θ 51.5, I = 57.5
hkl 0 1 5, 2θ 27.9, I = 57.3
hkl 1 1 0, 2θ 25.1, I = 42.0
hkl 1 2 5, 2θ 46.0, I = 28.1
hkl 1 0 7, 2θ 36.7, I = 24.0

Structure:
a b c (Å): 7.0957 7.0957 18.6953
angles (deg): 90.00 90.00 120.00
Space group R-3m (No. 166, hexagonal axes)
Asymmetric unit:
Tl (0.0000, 0.0000, 0.2041)
Pd (0.0000, 0.0000, 0.0000)
Pd (0.0000, 0.5000, 0.0000)
S (0.0056, 0.5028, 0.2686)

(8)
Computed powder XRD pattern of UTlPd2S4 for Cu Kα, 1.54184 Å, from DFT lattice parameters and positions (GGA-PBE).

The 10 most intense peaks (2θ = 15–90°), in order of falling intensity:
hkl 1 1 2, 2θ 31.7, I = 100.0
hkl 2 2 0, 2θ 37.7, I = 46.1
hkl 1 3 2, 2θ 49.8, I = 28.6
hkl 3 1 2, 2θ 50.2, I = 28.0
hkl 0 2 0, 2θ 26.2, I = 25.4
hkl 2 0 0, 2θ 26.5, I = 24.8
hkl 1 1 0, 2θ 18.6, I = 18.5
hkl 2 2 4, 2θ 66.2, I = 13.5
hkl 3 3 2, 2θ 64.3, I = 13.2
hkl 0 2 2, 2θ 36.9, I = 9.1

Structure:
a b c (Å): 6.715 6.791 7.005
angles (deg): 90.00 90.00 90.00
Space group I222 (No. 23)
Asymmetric unit:
U (0.000, 0.000, 0.000)
Tl (0.000, 0.000, 0.500)
Pd (0.000, 0.500, 0.274)
S (0.236, 0.240, 0.791)

(9)
Computed powder XRD pattern of UTlPdS2 for Cu Kα, 1.54184 Å, from DFT lattice parameters and positions (GGA-PBE).

The 10 most intense peaks (2θ = 15–90°), in order of falling intensity:
hkl 1 1 -2, 2θ 31.3, I = 100.0
hkl 2 0 0, 2θ 23.8, I = 98.5
hkl 1 2 0, 2θ 38.1, I = 61.2
hkl 1 1 2, 2θ 35.5, I = 59.6
hkl 1 1 1, 2θ 26.3, I = 46.0
hkl 1 1 0, 2θ 21.4, I = 43.2
hkl 3 1 -2, 2θ 43.5, I = 34.6
hkl 2 0 -2, 2θ 30.8, I = 32.0
hkl 0 0 2, 2θ 25.4, I = 26.5
hkl 3 2 0, 2θ 51.9, I = 26.3

Structure:
a b c (Å): 7.684 4.980 7.194
angles (deg): 90.00 103.04 90.00
Space group P2/c (No. 13)
Asymmetric unit:
U (0.000, 0.005, 0.250)
Tl (0.500, 0.313, 0.750)
Pd (0.000, 0.500, 0.000)
S (0.243, 0.197, 0.056)

(10)
Computed powder XRD pattern of TmU2PdS6 for Cu Kα, 1.54184 Å, from DFT lattice parameters and positions (GGA-PBE).

The 10 most intense peaks (2θ = 15–90°), in order of falling intensity:
hkl 1 1 1, 2θ 25.0, I = 100.0
hkl 2 0 2, 2θ 40.6, I = 40.8
hkl 3 1 1, 2θ 50.4, I = 31.1
hkl 2 0 0, 2θ 30.1, I = 29.7
hkl 1 1 3, 2θ 46.0, I = 23.4
hkl 2 2 0, 2θ 43.1, I = 21.7
hkl 3 1 3, 2θ 64.8, I = 17.1
hkl 0 0 2, 2θ 26.6, I = 14.5
hkl 4 2 2, 2θ 77.2, I = 12.7
hkl 2 2 2, 2θ 51.3, I = 10.5

Structure:
a b c (Å): 5.943 5.943 6.710
angles (deg): 90.00 90.00 90.00
Space group P4mm (No. 99)
Asymmetric unit:
Tm (0.000, 0.000, 0.000)
U (0.000, 0.500, 0.452)
Pd (0.500, 0.500, 0.964)
S (0.000, 0.000, 0.609)
S (0.259, 0.259, 0.200)
S (0.500, 0.500, 0.610)